Structure and calculated powder diffraction line list of DyMnGa2O6 (a PBE+U-relaxed structure; Cu Kα X-rays).

Cell: 5.2420 5.2462 5.5368 Å, 61.79 89.82 60.07°
Space group P1 (No. 1)
Asymmetric unit:
Dy (0.0000, 0.0000, 0.0000)
Mn (0.4750, 0.0491, 0.4244)
Ga (0.2672, 0.4649, 0.8030)
Ga (0.7823, 0.4369, 0.3475)
O (0.0750, 0.4918, 0.1454)
O (0.1840, 0.9303, 0.6260)
O (0.4346, 0.9285, 0.1473)
O (0.5598, 0.2585, 0.6286)
O (0.6380, 0.2883, 0.1469)
O (0.8872, 0.5560, 0.6261)

Main lines, by angle (10 to 90 degrees two-theta):
(hkl), 2theta, Rel. int.
0 1 1, 20.6, 36.8
1 1 1, 23.3, 18.6
1 0 1, 32.3, 37.8
1 1 -1, 32.4, 74.6
-1 1 1, 34.2, 100.0
0 2 0, 47.7, 15.6
2 2 2, 47.8, 15.3
2 0 -2, 47.9, 15.2
2 -1 0, 59.9, 14.1
1 3 3, 60.1, 14.0
3 2 -1, 60.2, 13.9
0 3 2, 61.2, 21.1